[1]
This entry pairs a crystal structure of TbPmPr4Se8 with its simulated powder diffractogram. Radiation: Cu Kα, 1.54184 Å. Structure: the GGA-PBE geometry in Alexandria.
Neutral-atom scattering factors, no anomalous dispersion.

Cell and atoms:
Lattice parameters (Å, degrees): 8.7091 8.7091 21.2719 90.00 90.00 120.00
Space group R3m (No. 160, hexagonal axes)
Symmetry-distinct sites (fractional):
Tb  0.0000  0.0000  0.0000
Pm  0.0000  0.0000  0.6261
Pr  0.0000  0.0000  0.2489
Pr  0.1687  0.3375  0.4574
Se  0.0000  0.0000  0.3823
Se  0.0000  0.0000  0.8712
Se  0.0126  0.5063  0.3745
Se  0.1791  0.3582  0.2063

Top 8 peaks for 2θ = 10–90°, by angle:
- (1 1 0), 4.351 Å, 2θ 20.4, I = 26
- (0 1 5), 3.710 Å, 2θ 24.0, I = 90
- (0 2 4), 3.076 Å, 2θ 29.0, I = 49
- (1 2 5), 2.368 Å, 2θ 38.0, I = 44
- (2 0 8), 2.175 Å, 2θ 41.5, I = 100
- (4 1 3), 1.603 Å, 2θ 57.5, I = 17
- (0 4 8), 1.538 Å, 2θ 60.2, I = 16
- (4 2 8), 1.257 Å, 2θ 75.7, I = 24

[2]
This entry pairs a crystal structure of Pm4Pr3ThSe8 with its simulated powder diffractogram. Radiation: Cu Kα, 1.54184 Å. Structure: the GGA-PBE geometry in Alexandria.
Neutral-atom scattering factors, no anomalous dispersion.

Cell and atoms:
Lattice parameters (Å, degrees): 8.4342 8.4342 20.7530 90.00 90.00 120.00
Space group R-3m (No. 166, hexagonal axes)
Symmetry-distinct sites (fractional):
Pm  0.0000  0.0000  0.0000
Pm  0.0000  0.5000  0.0000
Pr  0.0000  0.5000  0.5000
Th  0.0000  0.0000  0.5000
Se  0.0000  0.0000  0.2521
Se  0.0028  0.5014  0.2514

Top 8 peaks for 2θ = 10–90°, by angle:
- (2 0 2), 3.445 Å, 2θ 25.9, I = 14
- (0 2 4), 2.986 Å, 2θ 29.9, I = 100
- (2 0 8), 2.115 Å, 2θ 42.8, I = 38
- (2 2 0), 2.109 Å, 2θ 42.9, I = 37
- (4 0 4), 1.722 Å, 2θ 53.2, I = 20
- (2 2 12), 1.337 Å, 2θ 70.4, I = 17
- (2 4 4), 1.334 Å, 2θ 70.6, I = 17
- (6 0 0), 1.218 Å, 2θ 78.5, I = 19

[3]
This entry pairs a crystal structure of PmPr2Si6 with its simulated powder diffractogram. Radiation: Cu Kα, 1.54184 Å. Structure: the GGA-PBE geometry in Alexandria.
Neutral-atom scattering factors, no anomalous dispersion.

Cell and atoms:
Lattice parameters (Å, degrees): 7.1775 7.1775 4.1873 90.00 90.00 120.00
Space group P6/mmm (No. 191)
Symmetry-distinct sites (fractional):
Pm  0.0000  0.0000  0.0000
Pr  0.3333  0.6667  0.0000
Si  0.0000  0.3321  0.5000

Top 8 peaks for 2θ = 10–90°, by angle:
- (0 0 1), 4.187 Å, 2θ 21.2, I = 11
- (1 1 0), 3.589 Å, 2θ 24.8, I = 45
- (1 1 1), 2.725 Å, 2θ 32.9, I = 100
- (3 0 0), 2.072 Å, 2θ 43.7, I = 31
- (1 1 2), 1.808 Å, 2θ 50.5, I = 13
- (2 2 1), 1.649 Å, 2θ 55.7, I = 22
- (3 0 2), 1.473 Å, 2θ 63.1, I = 20
- (4 1 1), 1.290 Å, 2θ 73.4, I = 19

[4]
This entry pairs a crystal structure of Pm2PrSi2 with its simulated powder diffractogram. Radiation: Cu Kα, 1.54184 Å. Structure: the GGA-PBE geometry in Alexandria.
Neutral-atom scattering factors, no anomalous dispersion.

Cell and atoms:
Lattice parameters (Å, degrees): 7.802 7.802 4.275 90.00 90.00 90.00
Space group P4/mbm (No. 127)
Symmetry-distinct sites (fractional):
Pm  0.176  0.324  0.000
Pr  0.000  0.000  0.500
Si  0.111  0.611  0.500

Top 8 peaks for 2θ = 10–90°, by angle:
- (2 1 0), 3.489 Å, 2θ 25.5, I = 45
- (1 1 1), 3.379 Å, 2θ 26.4, I = 38
- (2 0 1), 2.881 Å, 2θ 31.0, I = 100
- (2 2 0), 2.758 Å, 2θ 32.5, I = 26
- (2 1 1), 2.703 Å, 2θ 33.1, I = 94
- (3 1 0), 2.467 Å, 2θ 36.4, I = 51
- (3 3 1), 1.689 Å, 2θ 54.3, I = 44
- (3 1 2), 1.615 Å, 2θ 57.0, I = 30

[5]
This entry pairs a crystal structure of Pm6PrSi4 with its simulated powder diffractogram. Radiation: Cu Kα, 1.54184 Å. Structure: the GGA-PBE geometry in Alexandria.
Neutral-atom scattering factors, no anomalous dispersion.

Cell and atoms:
Lattice parameters (Å, degrees): 7.710 7.710 11.076 90.00 90.00 90.00
Space group I-42m (No. 121)
Symmetry-distinct sites (fractional):
Pm  0.000  0.500  0.000
Pm  0.156  0.156  0.172
Pr  0.000  0.000  0.500
Si  0.221  0.221  0.907

Top 8 peaks for 2θ = 10–90°, by angle:
- (1 1 2), 3.885 Å, 2θ 22.9, I = 47
- (1 0 3), 3.330 Å, 2θ 26.8, I = 61
- (2 1 1), 3.292 Å, 2θ 27.1, I = 100
- (2 0 2), 3.164 Å, 2θ 28.2, I = 64
- (2 2 0), 2.726 Å, 2θ 32.9, I = 31
- (1 1 4), 2.469 Å, 2θ 36.4, I = 31
- (2 2 2), 2.446 Å, 2θ 36.7, I = 41
- (2 0 4), 2.249 Å, 2θ 40.1, I = 33

[6]
This entry pairs a crystal structure of PmPrSi4 with its simulated powder diffractogram. Radiation: Cu Kα, 1.54184 Å. Structure: the GGA-PBE geometry in Alexandria.
Neutral-atom scattering factors, no anomalous dispersion.

Cell and atoms:
Lattice parameters (Å, degrees): 4.276 4.276 13.662 90.00 90.00 90.00
Space group I-4m2 (No. 119)
Symmetry-distinct sites (fractional):
Pm  0.000  0.000  0.000
Pr  0.000  0.500  0.750
Si  0.000  0.000  0.415
Si  0.000  0.500  0.164

Top 8 peaks for 2θ = 10–90°, by angle:
- (1 0 1), 4.081 Å, 2θ 21.8, I = 39
- (1 0 3), 3.117 Å, 2θ 28.6, I = 50
- (1 1 2), 2.765 Å, 2θ 32.4, I = 100
- (1 0 5), 2.302 Å, 2θ 39.1, I = 39
- (2 0 0), 2.138 Å, 2θ 42.3, I = 33
- (2 1 3), 1.763 Å, 2θ 51.9, I = 19
- (2 1 5), 1.567 Å, 2θ 59.0, I = 23
- (3 1 2), 1.326 Å, 2θ 71.1, I = 20

[7]
This entry pairs a crystal structure of Pm5Pr3Sm4 with its simulated powder diffractogram. Radiation: Cu Kα, 1.54184 Å. Structure: the GGA-PBE geometry in Alexandria.
Neutral-atom scattering factors, no anomalous dispersion.

Cell and atoms:
Lattice parameters (Å, degrees): 6.342 7.310 8.973 89.97 89.87 89.95
Space group P-1 (No. 2)
Symmetry-distinct sites (fractional):
Pm  0.000  0.000  0.000
Pm  0.334  0.500  0.666
Pm  0.499  0.249  0.000
Pr  0.000  0.500  0.000
Pr  0.167  0.751  0.334
Sm  0.168  0.249  0.334
Sm  0.333  0.000  0.667

Top 8 peaks for 2θ = 10–90°, by angle:
- (1 2 1), 2.988 Å, 2θ 29.9, I = 100
- (2 0 2), 2.588 Å, 2θ 34.7, I = 51
- (3 2 0), 1.830 Å, 2θ 49.8, I = 30
- (4 0 1), 1.562 Å, 2θ 59.1, I = 15
- (0 4 3), 1.560 Å, 2θ 59.2, I = 29
- (2 4 2), 1.495 Å, 2θ 62.1, I = 9
- (4 4 1), 1.188 Å, 2θ 80.9, I = 7
- (4 0 -5), 1.187 Å, 2θ 81.0, I = 7

[8]
This entry pairs a crystal structure of Pm7Pr3Sm with its simulated powder diffractogram. Radiation: Cu Kα, 1.54184 Å. Structure: the GGA-PBE geometry in Alexandria.
Neutral-atom scattering factors, no anomalous dispersion.

Cell and atoms:
Lattice parameters (Å, degrees): 11.886 10.279 6.521 90.00 95.08 90.00
Space group C2/m (No. 12)
Symmetry-distinct sites (fractional):
Pm  0.000  0.000  0.000
Pm  0.239  0.500  0.213
Pm  0.245  0.173  0.261
Pr  0.000  0.326  0.000
Pr  0.000  0.500  0.500
Sm  0.000  0.000  0.500

Top 8 peaks for 2θ = 10–90°, by angle:
- (4 0 0), 2.960 Å, 2θ 30.2, I = 100
- (1 3 1), 2.907 Å, 2θ 30.8, I = 58
- (2 0 2), 2.747 Å, 2θ 32.6, I = 40
- (3 3 -1), 2.453 Å, 2θ 36.6, I = 38
- (5 3 1), 1.830 Å, 2θ 49.8, I = 28
- (6 0 2), 1.624 Å, 2θ 56.7, I = 14
- (7 3 -1), 1.504 Å, 2θ 61.7, I = 15
- (4 6 0), 1.483 Å, 2θ 62.7, I = 22